Structure and simulated X-ray powder pattern of Ho3TmIr8 (a DFT-relaxed cell (GGA-PBE, Alexandria); Cu Kα X-rays).
Neutral-atom scattering factors, no anomalous dispersion.

Cell and atoms:
Cell lengths 5.3460, 5.3460, 26.1624 Å; angles 90.00, 90.00, 120.00 degrees
Space group R3m (No. 160, hexagonal axes)
One atom of each set of equivalent atoms:
Ho1 0.0000 0.0000 0.0000
Ho2 0.0000 0.0000 0.1251
Ho3 0.0000 0.0000 0.6248
Tm1 0.0000 0.0000 0.4999
Ir1 0.0000 0.0000 0.3125
Ir2 0.0000 0.0000 0.8125
Ir3 0.0002 0.5001 0.0626
Ir4 0.9999 0.4999 0.5623

Principal peaks in the range 2θ = 15–90°, most intense first:
h k l, 2theta, I/Imax
2 0 2, 39.5, 100
0 2 4, 41.4, 45
3 0 6, 64.0, 33
2 2 0, 70.5, 29
1 1 0, 33.5, 23
4 0 4, 85.2, 18
0 1 2, 20.4, 10
1 3 10, 83.9, 9
3 0 0, 60.0, 9
2 0 8, 48.2, 7
3 1 8, 80.4, 4
1 0 22, 84.0, 3